(1)
Structure and theoretical X-ray diffraction stick pattern of HfZr2Pd9 (the GGA-PBE geometry in Alexandria; Cu Kα (weighted mean of Kα1 and Kα2)).
No peak broadening, texture or thermal motion is included.

Peak list (9 most intense, 15 to 90 degrees two-theta, in order of rising 2θ)
23.29°, 3.820 Å, I = 13, hkl 1 0 1
26.61°, 3.350 Å, I = 10, hkl 1 0 2
32.31°, 2.771 Å, I = 6, hkl 1 1 1
38.73°, 2.325 Å, I = 1000, hkl 1 1 3
43.69°, 2.072 Å, I = 7, hkl 1 1 4
45.03°, 2.013 Å, I = 486, hkl 2 0 0
65.58°, 1.424 Å, I = 310, hkl 2 2 0
78.84°, 1.214 Å, I = 363, hkl 3 1 3
83.10°, 1.162 Å, I = 106, hkl 2 2 6

Atomic structure:
a b c (Å): 4.0261 4.0261 12.0812
angles (deg): 90.00 90.00 90.00
Space group P4/mmm (No. 123)
Inequivalent atoms, fractional coordinates:
Hf  0.0000  0.0000  0.0000 (multiplicity 1)
Zr  0.0000  0.0000  0.3330 (multiplicity 2)
Pd  0.0000  0.5000  0.1651 (multiplicity 4)
Pd  0.0000  0.5000  0.5000 (multiplicity 2)
Pd  0.5000  0.5000  0.0000 (multiplicity 1)
Pd  0.5000  0.5000  0.3327 (multiplicity 2)

(2)
Structure and theoretical X-ray diffraction stick pattern of CaN (the GGA-PBE geometry in Alexandria; Cu Kα (weighted mean of Kα1 and Kα2)).
No peak broadening, texture or thermal motion is included.

Peak list (10 most intense, 15 to 90 degrees two-theta, in order of rising 2θ)
24.84°, 3.585 Å, I = 284, hkl 1 1 1
28.81°, 3.099 Å, I = 323, hkl 2 0 0
29.69°, 3.009 Å, I = 442, hkl 0 0 2
31.55°, 2.836 Å, I = 715, hkl 0 2 1
41.84°, 2.159 Å, I = 680, hkl 2 0 2
43.24°, 2.092 Å, I = 1000, hkl 2 2 1
53.87°, 1.702 Å, I = 307, hkl 0 2 3
62.23°, 1.492 Å, I = 129, hkl 2 2 3
69.07°, 1.360 Å, I = 130, hkl 4 2 1
84.57°, 1.146 Å, I = 139, hkl 4 2 3

Atomic structure:
a b c (Å): 6.1984 6.4307 6.0184
angles (deg): 90.00 90.00 90.00
Space group Cmce (No. 64)
Inequivalent atoms, fractional coordinates:
Ca  0.2500  0.1544  0.2500 (multiplicity 8)
N  0.0000  0.0940  0.5764 (multiplicity 8)

(3)
Structure and theoretical X-ray diffraction stick pattern of Nd6TmS8 (the GGA-PBE geometry in Alexandria; Cu Kα (weighted mean of Kα1 and Kα2)).
No peak broadening, texture or thermal motion is included.

Peak list (10 most intense, 15 to 90 degrees two-theta, in order of rising 2θ)
26.96°, 3.307 Å, I = 662, hkl 2 2 2
31.23°, 2.864 Å, I = 1000, hkl 4 0 0
44.75°, 2.025 Å, I = 721, hkl 4 4 0
53.03°, 1.727 Å, I = 337, hkl 6 2 2
55.58°, 1.653 Å, I = 250, hkl 4 4 4
65.15°, 1.432 Å, I = 115, hkl 8 0 0
71.84°, 1.314 Å, I = 138, hkl 6 6 2
74.02°, 1.281 Å, I = 316, hkl 8 4 0
82.51°, 1.169 Å, I = 239, hkl 8 4 4
88.75°, 1.102 Å, I = 110, hkl 10 2 2

Atomic structure:
a b c (Å): 11.4554 11.4554 11.4554
angles (deg): 90.00 90.00 90.00
Space group Fm-3m (No. 225)
Inequivalent atoms, fractional coordinates:
Nd  0.0000  0.2500  0.2500 (multiplicity 24)
Tm  0.0000  0.0000  0.0000 (multiplicity 4)
S  0.0000  0.0000  0.2397 (multiplicity 24)
S  0.2500  0.2500  0.2500 (multiplicity 8)

(4)
Structure and theoretical X-ray diffraction stick pattern of CdSn2Hg7 (the GGA-PBE geometry in Alexandria; Cu Kα (weighted mean of Kα1 and Kα2)).
No peak broadening, texture or thermal motion is included.

Peak list (10 most intense, 15 to 90 degrees two-theta, in order of rising 2θ)
27.77°, 3.212 Å, I = 656, hkl 0 2 -3
29.28°, 3.051 Å, I = 1000, hkl 1 0 0
30.25°, 2.955 Å, I = 553, hkl 0 2 2
30.67°, 2.915 Å, I = 265, hkl 0 1 3
33.59°, 2.668 Å, I = 319, hkl 0 3 -3
33.85°, 2.648 Å, I = 270, hkl 0 3 1
41.47°, 2.177 Å, I = 243, hkl 1 -3 1
42.37°, 2.133 Å, I = 374, hkl 1 3 -2
42.64°, 2.120 Å, I = 262, hkl -1 1 3
45.23°, 2.005 Å, I = 251, hkl 1 -1 4

Atomic structure:
a b c (Å): 3.0509 9.3253 10.7445
angles (deg): 107.30 90.60 90.04
Space group P-1 (No. 2)
Inequivalent atoms, fractional coordinates:
Cd  0.0000  0.0000  0.0000 (multiplicity 1)
Sn  0.4926  0.3952  0.7056 (multiplicity 2)
Hg  0.4895  0.1444  0.4467 (multiplicity 2)
Hg  0.4944  0.7342  0.7951 (multiplicity 2)
Hg  0.4993  0.8727  0.1972 (multiplicity 2)
Hg  0.5000  0.5000  0.0000 (multiplicity 1)

Copy entry 1 word for word.
Structure and theoretical X-ray diffraction stick pattern of HfZr2Pd9 (the GGA-PBE geometry in Alexandria; Cu Kα (weighted mean of Kα1 and Kα2)).
No peak broadening, texture or thermal motion is included.

Peak list (9 most intense, 15 to 90 degrees two-theta, in order of rising 2θ)
23.29°, 3.820 Å, I = 13, hkl 1 0 1
26.61°, 3.350 Å, I = 10, hkl 1 0 2
32.31°, 2.771 Å, I = 6, hkl 1 1 1
38.73°, 2.325 Å, I = 1000, hkl 1 1 3
43.69°, 2.072 Å, I = 7, hkl 1 1 4
45.03°, 2.013 Å, I = 486, hkl 2 0 0
65.58°, 1.424 Å, I = 310, hkl 2 2 0
78.84°, 1.214 Å, I = 363, hkl 3 1 3
83.10°, 1.162 Å, I = 106, hkl 2 2 6

Atomic structure:
a b c (Å): 4.0261 4.0261 12.0812
angles (deg): 90.00 90.00 90.00
Space group P4/mmm (No. 123)
Inequivalent atoms, fractional coordinates:
Hf  0.0000  0.0000  0.0000 (multiplicity 1)
Zr  0.0000  0.0000  0.3330 (multiplicity 2)
Pd  0.0000  0.5000  0.1651 (multiplicity 4)
Pd  0.0000  0.5000  0.5000 (multiplicity 2)
Pd  0.5000  0.5000  0.0000 (multiplicity 1)
Pd  0.5000  0.5000  0.3327 (multiplicity 2)